Diffraction record for Ni2HgRh. The powder XRD pattern is simulated, not measured: it uses a DFT-relaxed cell (PBE, Alexandria) and Cu Ka.

Most intense lines, 10 to 80 degrees two-theta, sorted by position:
- 2θ = 20.11°, rel. 24, hkl 1 1 0
- 2θ = 24.50°, rel. 28, hkl 0 2 0
- 2θ = 31.91°, rel. 15, hkl 0 0 1
- 2θ = 32.21°, rel. 14, hkl 2 0 0
- 2θ = 40.64°, rel. 100, hkl 0 2 1
- 2θ = 40.88°, rel. 94, hkl 2 2 0
- 2θ = 45.97°, rel. 67, hkl 2 0 1
- 2θ = 50.23°, rel. 26, hkl 0 4 0
- 2θ = 52.78°, rel. 15, hkl 2 2 1
- 2θ = 70.44°, rel. 38, hkl 2 4 1

Crystal structure
```
data_Ni2HgRh
_chemical_formula_sum 'Ni4 Hg2 Rh2'
_cell_length_a 5.5586
_cell_length_b 7.2660
_cell_length_c 2.8045
_cell_angle_alpha 90.00
_cell_angle_beta 90.00
_cell_angle_gamma 90.00
_space_group_name_H-M_alt 'C m m m'
_space_group_IT_number 65
_space_group_name_Hall '-C 2 2'
loop_
_atom_site_label
_atom_site_type_symbol
_atom_site_fract_x
_atom_site_fract_y
_atom_site_fract_z
Ni1 Ni 0.2500 0.2500 0.0000
Hg1 Hg 0.0000 0.0000 0.5000
Rh1 Rh 0.0000 0.5000 0.5000
```